Starting from a structure optimized by DFT (GGA-PBE), the powder diffractogram of Na4HfMgSi2SO12 was computed for a wavelength of 1.5418 Å.
Intensities are scaled so that the largest is 100.

Structure:
```
data_Na4HfMgSi2SO12
_symmetry_space_group_name_H-M 'C 1 c 1'
_symmetry_Int_Tables_number 9
_symmetry_space_group_name_Hall 'C -2yc'
_cell_length_a 15.749
_cell_length_b 9.149
_cell_length_c 9.119
_cell_angle_alpha 90.00
_cell_angle_beta 124.58
_cell_angle_gamma 90.00
loop_
_atom_site_label
_atom_site_type_symbol
_atom_site_fract_x
_atom_site_fract_y
_atom_site_fract_z
Na1 Na 0.000 0.063 0.000
Na2 Na 0.073 0.264 0.386
Na3 Na 0.135 0.433 0.778
Na4 Na 0.356 0.117 0.664
Hf1 Hf 0.237 0.263 0.253
Mg1 Mg 0.440 0.251 0.046
Si1 Si 0.343 0.451 0.646
Si2 Si 0.487 0.102 0.438
S1 S 0.193 0.102 0.851
O1 O 0.080 0.307 0.120
O2 O 0.105 0.168 0.687
O3 O 0.186 0.062 0.329
O4 O 0.189 0.130 0.009
O5 O 0.255 0.349 0.471
O6 O 0.267 0.441 0.175
O7 O 0.289 0.158 0.881
O8 O 0.378 0.171 0.399
O9 O 0.411 0.448 0.107
O10 O 0.415 0.343 0.814
O11 O 0.490 0.134 0.267
O12 O 0.497 0.073 0.975
```

Peak list (12 most intense, 2θ = 10–90°, sorted by position)
h k l	2theta	I_rel
1 1 -1	13.69	100
1 1 1	19.30	32
3 1 -1	19.47	91
2 2 -1	22.80	20
2 2 0	23.81	18
2 2 -2	27.62	22
0 2 2	30.78	20
3 1 -3	30.99	76
4 2 -2	31.06	30
1 3 1	33.88	48
4 2 -4	44.35	18
6 2 0	46.49	27